# 1
# Ce2MnSe2O2
Computed powder diffraction line list, Cu Kα (weighted mean of Kα1 and Kα2). Input: the GGA+U geometry in the Materials Project.
Intensities are scaled so that the largest is 100.

Atomic structure:
Cell: 3.9915 3.9915 9.2845 Å, 90.00 90.00 90.00°
Space group P-4m2 (No. 115)
One atom of each set of equivalent atoms:
1 Ce 0.0000 0.5000 0.1331 (multiplicity 2)
2 Mn 0.5000 0.5000 0.5000 (multiplicity 1)
3 Se 0.0000 0.5000 0.6810 (multiplicity 2)
4 O 0.0000 0.0000 0.0000 (multiplicity 1)
5 O 0.5000 0.5000 0.0000 (multiplicity 1)

Top 10 peaks for 5 to 70 degrees two-theta, sorted by position:
(hkl), two_theta, d [Å], I/Imax
0 0 1, 9.5, 9.285, 20
1 0 2, 29.5, 3.027, 100
1 1 0, 31.7, 2.822, 31
1 0 3, 36.7, 2.446, 16
1 1 2, 37.3, 2.412, 16
1 0 4, 45.2, 2.007, 9
2 0 0, 45.4, 1.996, 26
1 1 4, 50.9, 1.793, 20
2 1 2, 55.1, 1.666, 34
0 0 6, 59.8, 1.547, 9



# 2
# Ce2Mn2Se2O3
Computed powder diffraction line list, Cu Kα (weighted mean of Kα1 and Kα2). Input: the GGA+U geometry in the Materials Project.
Intensities are scaled so that the largest is 100.

Atomic structure:
Cell: 4.1515 4.1515 18.9115 Å, 90.00 90.00 90.00°
Space group I4/mmm (No. 139)
One atom of each set of equivalent atoms:
1 Ce 0.0000 0.0000 0.1887 (multiplicity 4)
2 Mn 0.0000 0.5000 0.0000 (multiplicity 4)
3 Se 0.0000 0.0000 0.3979 (multiplicity 4)
4 O 0.0000 0.0000 0.0000 (multiplicity 2)
5 O 0.0000 0.5000 0.2500 (multiplicity 4)

Top 10 peaks for 5 to 70 degrees two-theta, sorted by position:
(hkl), two_theta, d [Å], I/Imax
1 0 3, 25.7, 3.467, 24
1 1 0, 30.5, 2.936, 23
1 0 5, 32.0, 2.797, 100
1 1 4, 36.0, 2.494, 20
2 0 0, 43.6, 2.076, 31
1 1 8, 49.5, 1.841, 14
2 1 5, 55.1, 1.667, 33
1 1 10, 58.0, 1.590, 9
2 2 0, 63.4, 1.468, 10
2 0 10, 66.9, 1.398, 10



# 3
# Sr2CeMn3O9
Computed powder diffraction line list, Cu Kα (weighted mean of Kα1 and Kα2). Input: the GGA+U geometry in the Materials Project.
Intensities are scaled so that the largest is 100.

Atomic structure:
Cell: 9.5917 5.5299 13.5497 Å, 90.00 90.91 90.00°
Space group C2/m (No. 12)
One atom of each set of equivalent atoms:
1 Sr 0.1634 0.0000 0.0810 (multiplicity 4)
2 Sr 0.1684 0.0000 0.5851 (multiplicity 4)
3 Ce 0.0167 0.5000 0.7480 (multiplicity 4)
4 Mn 0.0000 0.5000 0.0000 (multiplicity 2)
5 Mn 0.0000 0.5000 0.5000 (multiplicity 2)
6 Mn 0.1664 0.0000 0.3327 (multiplicity 4)
7 Mn 0.1668 0.0000 0.8348 (multiplicity 4)
8 O 0.0214 0.0000 0.2287 (multiplicity 4)
9 O 0.0609 0.2616 0.3937 (multiplicity 8)
10 O 0.1072 0.2525 0.9240 (multiplicity 8)
11 O 0.1352 0.5000 0.1208 (multiplicity 4)
12 O 0.1857 0.5000 0.5654 (multiplicity 4)
13 O 0.2139 0.2616 0.7395 (multiplicity 8)

Top 10 peaks for 5 to 70 degrees two-theta, sorted by position:
(hkl), two_theta, d [Å], I/Imax
2 0 -4, 32.1, 2.787, 30
0 2 0, 32.4, 2.767, 100
1 1 4, 32.5, 2.755, 68
2 2 2, 40.0, 2.254, 22
2 2 -4, 46.2, 1.963, 45
4 0 4, 46.8, 1.942, 20
1 1 -8, 57.6, 1.600, 21
1 3 4, 57.8, 1.596, 26
4 2 4, 58.0, 1.589, 21
0 4 0, 67.7, 1.383, 18



# 4
# Sr3CeMn4O12
Computed powder diffraction line list, Cu Kα (weighted mean of Kα1 and Kα2). Input: the GGA+U geometry in the Materials Project.
Intensities are scaled so that the largest is 100.

Atomic structure:
Cell: 7.7951 7.7951 7.7951 Å, 90.00 90.00 90.00°
Space group Im-3m (No. 229)
One atom of each set of equivalent atoms:
1 Sr 0.0000 0.0000 0.5000 (multiplicity 6)
2 Ce 0.0000 0.0000 0.0000 (multiplicity 2)
3 Mn 0.2500 0.2500 0.2500 (multiplicity 8)
4 O 0.0000 0.2417 0.2417 (multiplicity 24)

Top 10 peaks for 5 to 70 degrees two-theta, sorted by position:
(hkl), two_theta, d [Å], I/Imax
1 1 0, 16.1, 5.512, 6
2 0 0, 22.8, 3.898, 4
2 1 1, 28.0, 3.182, 2
2 2 0, 32.5, 2.756, 100
2 2 2, 40.1, 2.250, 16
3 2 1, 43.4, 2.083, 2
4 0 0, 46.6, 1.949, 37
4 2 0, 52.5, 1.743, 3
4 2 2, 58.0, 1.591, 38
4 4 0, 68.0, 1.378, 21